# 1
# BaCaCo4O8
Computed PXRD pattern, copper Kα. Input: a crystal structure in the Materials Project, relaxed with PBE+U.

Peak list (10 most intense, 2θ = 10–90°, in order of rising 2θ)
d 7.838, I = 26; d 3.008, I = 100; d 2.710, I = 80; d 2.561, I = 27; d 2.013, I = 31; d 1.959, I = 13; d 1.616, I = 30; d 1.588, I = 32; d 1.564, I = 24; d 1.223, I = 14

Atomic structure:
```
data_BaCaCo4O8
_cell_length_a 5.4194
_cell_length_b 5.4194
_cell_length_c 7.8376
_cell_angle_alpha 90.00
_cell_angle_beta 90.00
_cell_angle_gamma 120.00
_space_group_name_H-M_alt 'P 1'
_space_group_IT_number 1
loop_
_space_group_symop_operation_xyz
'x,y,z'
loop_
_atom_site_label
_atom_site_type_symbol
_atom_site_fract_x
_atom_site_fract_y
_atom_site_fract_z
Ba1 Ba 0.0000 0.0000 0.0000
Ca1 Ca 0.0000 0.0000 0.5000
Co1 Co 0.3333 0.6667 0.2349
Co2 Co 0.3333 0.6667 0.7651
Co3 Co 0.6667 0.3333 0.2349
Co4 Co 0.6667 0.3333 0.7651
O1 O 0.0000 0.3329 0.3009
O2 O 0.0000 0.6671 0.6991
O3 O 0.3329 0.0000 0.3009
O4 O 0.3329 0.3329 0.6991
O5 O 0.3333 0.6667 0.0000
O6 O 0.6671 0.0000 0.6991
O7 O 0.6667 0.3333 0.0000
O8 O 0.6671 0.6671 0.3009
```

***

# 2
# Li2V5O10
Computed PXRD pattern, copper Kα. Input: a crystal structure in the Materials Project, relaxed with PBE+U.

Peak list (10 most intense, 2θ = 10–90°, in order of rising 2θ)
d 7.438, I = 56; d 4.937, I = 100; d 3.951, I = 17; d 3.297, I = 18; d 3.254, I = 17; d 2.951, I = 13; d 2.497, I = 14; d 2.367, I = 41; d 2.029, I = 29; d 2.010, I = 28

Atomic structure:
```
data_Li2V5O10
_cell_length_a 5.1555
_cell_length_b 5.1885
_cell_length_c 15.1799
_cell_angle_alpha 95.68
_cell_angle_beta 98.31
_cell_angle_gamma 103.67
_space_group_name_H-M_alt 'P 1'
_space_group_IT_number 1
loop_
_space_group_symop_operation_xyz
'x,y,z'
loop_
_atom_site_label
_atom_site_type_symbol
_atom_site_fract_x
_atom_site_fract_y
_atom_site_fract_z
Li1 Li 0.0000 0.0000 0.0000
Li2 Li 0.0094 0.4888 0.5038
Li3 Li 0.0911 0.0161 0.6038
Li4 Li 0.0997 0.5083 0.1069
V1 V 0.0482 0.0041 0.8024
V2 V 0.0521 0.5058 0.3050
V3 V 0.5061 0.7494 0.8565
V4 V 0.5106 0.2502 0.3552
V5 V 0.5339 0.2088 0.1461
V6 V 0.5399 0.7168 0.6464
V7 V 0.5602 0.7886 0.4609
V8 V 0.5655 0.2988 0.9611
V9 V 0.5883 0.2557 0.7524
V10 V 0.5961 0.7592 0.2507
O1 O 0.2744 0.4304 0.4129
O2 O 0.2813 0.9114 0.9122
O3 O 0.3278 0.3070 0.0485
O4 O 0.3309 0.8157 0.5511
O5 O 0.3338 0.3585 0.8375
O6 O 0.3373 0.3862 0.2343
O7 O 0.3373 0.8702 0.7399
O8 O 0.3387 0.8484 0.3266
O9 O 0.3847 0.8612 0.1462
O10 O 0.3878 0.3700 0.6477
O11 O 0.7113 0.1366 0.4587
O12 O 0.7160 0.6462 0.9610
O13 O 0.7623 0.6566 0.7804
O14 O 0.7626 0.1208 0.8736
O15 O 0.7650 0.1491 0.2695
O16 O 0.7647 0.6364 0.3673
O17 O 0.7695 0.6903 0.5559
O18 O 0.7712 0.1999 0.0585
O19 O 0.8162 0.5935 0.1942
O20 O 0.8262 0.0750 0.6945
```

***

# 3
# BaCaTbFeO6
Computed PXRD pattern, copper Kα. Input: a crystal structure in the Materials Project, relaxed with PBE+U.

Peak list (10 most intense, 2θ = 10–90°, in order of rising 2θ)
d 4.735, I = 25; d 2.899, I = 100; d 2.473, I = 18; d 2.050, I = 33; d 1.881, I = 10; d 1.674, I = 39; d 1.450, I = 19; d 1.297, I = 17; d 1.184, I = 6; d 1.096, I = 21

Atomic structure:
```
data_BaCaTbFeO6
_cell_length_a 5.7989
_cell_length_b 5.7989
_cell_length_c 5.7989
_cell_angle_alpha 60.00
_cell_angle_beta 60.00
_cell_angle_gamma 60.00
_space_group_name_H-M_alt 'P 1'
_space_group_IT_number 1
loop_
_space_group_symop_operation_xyz
'x,y,z'
loop_
_atom_site_label
_atom_site_type_symbol
_atom_site_fract_x
_atom_site_fract_y
_atom_site_fract_z
Ba1 Ba 0.0000 0.0000 0.0000
Ca1 Ca 0.5000 0.5000 0.5000
Tb1 Tb 0.2500 0.2500 0.2500
Fe1 Fe 0.7500 0.7500 0.7500
O1 O 0.5196 0.5196 0.9804
O2 O 0.5196 0.9804 0.5196
O3 O 0.5196 0.9804 0.9804
O4 O 0.9804 0.5196 0.5196
O5 O 0.9804 0.5196 0.9804
O6 O 0.9804 0.9804 0.5196
```

***

# 4
# MgCo3NiO8
Computed PXRD pattern, copper Kα. Input: a crystal structure in the Materials Project, relaxed with PBE+U.

Peak list (10 most intense, 2θ = 10–90°, in order of rising 2θ)
d 5.218, I = 100; d 2.609, I = 6; d 2.423, I = 33; d 2.341, I = 7; d 2.078, I = 36; d 1.931, I = 8; d 1.653, I = 19; d 1.530, I = 11; d 1.417, I = 8; d 1.367, I = 7

Atomic structure:
```
data_MgCo3NiO8
_cell_length_a 5.6680
_cell_length_b 5.6680
_cell_length_c 6.1580
_cell_angle_alpha 117.40
_cell_angle_beta 117.40
_cell_angle_gamma 59.88
_space_group_name_H-M_alt 'P 1'
_space_group_IT_number 1
loop_
_space_group_symop_operation_xyz
'x,y,z'
loop_
_atom_site_label
_atom_site_type_symbol
_atom_site_fract_x
_atom_site_fract_y
_atom_site_fract_z
Mg1 Mg 0.0000 0.0000 0.0000
Co1 Co 0.1545 0.6438 0.4366
Co2 Co 0.6438 0.1545 0.4366
Co3 Co 0.6440 0.6440 0.4364
Ni1 Ni 0.1614 0.1614 0.4785
O1 O 0.3913 0.3913 0.6297
O2 O 0.3913 0.8534 0.6298
O3 O 0.4171 0.9206 0.2529
O4 O 0.4181 0.4181 0.2472
O5 O 0.8534 0.3913 0.6298
O6 O 0.8777 0.8777 0.6281
O7 O 0.9199 0.9199 0.2525
O8 O 0.9206 0.4171 0.2529
```